Structure and simulated X-ray diffraction stick pattern of BaAcV2O8 (a DFT-relaxed cell (PBE+U, Alexandria); Cu Ka).
Peak positions follow from Bragg's law for the DFT cell and can differ from measured ones.

Principal peaks in the range 10° ≤ 2θ ≤ 80°, by angle:
d 5.113, 2θ = 17.3°, rel. 1000; d 4.317, 2θ = 20.6°, rel. 457; d 3.165, 2θ = 28.2°, rel. 974; d 2.952, 2θ = 30.3°, rel. 621; d 2.381, 2θ = 37.8°, rel. 396; d 2.159, 2θ = 41.8°, rel. 463; d 1.742, 2θ = 52.5°, rel. 345; d 1.664, 2θ = 55.2°, rel. 193

Structural model:
Cell: 5.9038 5.9038 8.0593 Å, 90.00 90.00 120.00°
Space group P-3m1 (No. 164)
Symmetry-distinct sites (fractional):
Ba1 0.0000 0.0000 0.0000 (multiplicity 1)
Ac1 0.0000 0.0000 0.5000 (multiplicity 1)
V1 0.3333 0.6667 0.7884 (multiplicity 2)
O1 0.1709 0.3418 0.7182 (multiplicity 6)
O2 0.3333 0.6667 0.9990 (multiplicity 2)